Record 1
Structure and simulated X-ray powder pattern of AgMo6Br13 (a structure optimized by DFT (PBE); λ = 1.5418 Å (Cu Kα)).
Neutral-atom scattering factors, no anomalous dispersion.

Structure:
```
data_AgMo6Br13
_space_group_name_H-M_alt 'P -1'
_space_group_IT_number 2
_cell_length_a 9.572
_cell_length_b 9.705
_cell_length_c 14.768
_cell_angle_alpha 96.60
_cell_angle_beta 102.63
_cell_angle_gamma 113.22
loop_
_space_group_symop_operation_xyz
'x,y,z'
'-x,-y,-z'
loop_
_atom_site_label
_atom_site_type_symbol
_atom_site_fract_x
_atom_site_fract_y
_atom_site_fract_z
Ag1 Ag 0.045 0.276 0.272
Mo1 Mo 0.308 0.002 0.438
Mo2 Mo 0.324 0.388 0.040
Mo3 Mo 0.369 0.543 0.905
Mo4 Mo 0.399 0.784 0.476
Mo5 Mo 0.451 0.015 0.616
Mo6 Mo 0.462 0.321 0.915
Br1 Br 0.046 0.017 0.351
Br2 Br 0.073 0.228 0.095
Br3 Br 0.159 0.254 0.864
Br4 Br 0.162 0.799 0.530
Br5 Br 0.181 0.592 0.767
Br6 Br 0.234 0.611 0.028
Br7 Br 0.256 0.481 0.437
Br8 Br 0.258 0.774 0.300
Br9 Br 0.356 0.222 0.574
Br10 Br 0.395 0.055 0.791
Br11 Br 0.416 0.168 0.050
Br12 Br 0.462 0.202 0.348
Br13 Br 0.490 0.522 0.217
```

Principal peaks in the range 15 to 90 degrees two-theta, by intensity:
2θ 29.4, d = 3.037 Å, intensity 100.0, hkl 2 -3 1
2θ 28.6, d = 3.118 Å, intensity 91.1, hkl -3 1 2
2θ 43.3, d = 2.092 Å, intensity 77.8, hkl 4 -2 2
2θ 47.6, d = 1.909 Å, intensity 67.7, hkl 4 1 -4
2θ 44.0, d = 2.057 Å, intensity 60.7, hkl 2 0 -7
2θ 28.9, d = 3.091 Å, intensity 57.9, hkl 3 -1 0
2θ 27.7, d = 3.221 Å, intensity 54.8, hkl -1 2 3
2θ 29.5, d = 3.029 Å, intensity 52.1, hkl 0 1 4
2θ 38.5, d = 2.337 Å, intensity 51.2, hkl 3 1 -4
2θ 38.1, d = 2.363 Å, intensity 50.9, hkl 2 1 3

---

Record 2
Structure and simulated X-ray powder pattern of Ge2S3I2 (a structure optimized by DFT (PBE); λ = 1.5418 Å (Cu Kα)).
Neutral-atom scattering factors, no anomalous dispersion.

Structure:
```
data_Ge2S3I2
_space_group_name_H-M_alt 'P -3'
_space_group_IT_number 147
_cell_length_a 11.3356
_cell_length_b 11.3356
_cell_length_c 10.0121
_cell_angle_alpha 90.00
_cell_angle_beta 90.00
_cell_angle_gamma 120.00
loop_
_space_group_symop_operation_xyz
'x,y,z'
'-x,-y,-z'
'-y,x-y,z'
'y,-x+y,-z'
'-x+y,-x,z'
'x-y,x,-z'
loop_
_atom_site_label
_atom_site_type_symbol
_atom_site_fract_x
_atom_site_fract_y
_atom_site_fract_z
Ge1 Ge 0.1885 0.7184 0.2298
Ge2 Ge 0.3333 0.6667 0.9468
S1 S 0.1209 0.5101 0.3138
S2 S 0.1757 0.7217 0.0066
I1 I 0.0166 0.7821 0.3124
I2 I 0.3333 0.6667 0.6949
```

Principal peaks in the range 15 to 90 degrees two-theta, by intensity:
2θ 25.6, d = 3.479 Å, intensity 100.0, hkl 2 1 1
2θ 18.0, d = 4.923 Å, intensity 94.2, hkl 1 1 1
2θ 17.7, d = 5.006 Å, intensity 47.2, hkl 0 0 2
2θ 20.1, d = 4.407 Å, intensity 42.1, hkl 2 0 1
2θ 30.0, d = 2.981 Å, intensity 38.1, hkl 3 -2 2
2θ 43.6, d = 2.075 Å, intensity 35.2, hkl 2 1 4
2θ 34.1, d = 2.627 Å, intensity 30.8, hkl 3 1 1
2θ 42.2, d = 2.142 Å, intensity 29.5, hkl 1 4 0
2θ 26.7, d = 3.337 Å, intensity 27.1, hkl 0 0 3
2θ 51.9, d = 1.762 Å, intensity 22.3, hkl 3 -2 5

---

Record 3
Structure and simulated X-ray powder pattern of PmZn2Cd (a structure optimized by DFT (PBE); λ = 1.5418 Å (Cu Kα)).
Neutral-atom scattering factors, no anomalous dispersion.

Structure:
```
data_PmZn2Cd
_space_group_name_H-M_alt 'F m -3 m'
_space_group_IT_number 225
_space_group_name_Hall '-F 4 2 3'
_cell_length_a 6.934
_cell_length_b 6.934
_cell_length_c 6.934
_cell_angle_alpha 90.00
_cell_angle_beta 90.00
_cell_angle_gamma 90.00
loop_
_atom_site_label
_atom_site_type_symbol
_atom_site_fract_x
_atom_site_fract_y
_atom_site_fract_z
Pm1 Pm 0.000 0.000 0.000
Zn1 Zn 0.250 0.250 0.250
Cd1 Cd 0.000 0.000 0.500
```

Principal peaks in the range 15 to 90 degrees two-theta, by intensity:
2θ 36.7, d = 2.451 Å, intensity 100.0, hkl 2 2 0
2θ 66.0, d = 1.415 Å, intensity 34.0, hkl 4 2 2
2θ 52.8, d = 1.733 Å, intensity 17.1, hkl 4 0 0
2θ 89.4, d = 1.096 Å, intensity 15.2, hkl 6 2 0
2θ 25.7, d = 3.467 Å, intensity 10.8, hkl 2 0 0
2θ 77.9, d = 1.226 Å, intensity 10.4, hkl 4 4 0
2θ 59.6, d = 1.550 Å, intensity 4.3, hkl 4 2 0
2θ 45.3, d = 2.002 Å, intensity 3.2, hkl 2 2 2
2θ 83.7, d = 1.156 Å, intensity 2.2, hkl 6 0 0
2θ 22.2, d = 4.003 Å, intensity 1.5, hkl 1 1 1

---

Record 4
Structure and simulated X-ray powder pattern of EuZn11 (a structure optimized by DFT (PBE); λ = 1.5418 Å (Cu Kα)).
Neutral-atom scattering factors, no anomalous dispersion.

Structure:
```
data_EuZn11
_space_group_name_H-M_alt 'I 41/a m d'
_space_group_IT_number 141
_cell_length_a 10.678
_cell_length_b 10.678
_cell_length_c 6.926
_cell_angle_alpha 90.00
_cell_angle_beta 90.00
_cell_angle_gamma 90.00
loop_
_space_group_symop_operation_xyz
'x,y,z'
'-x,-y,-z'
'-y+1/4,x+3/4,z+1/4'
'y+1/4,-x+3/4,-z+1/4'
'-x+1/2,-y,z+1/2'
'x+1/2,y,-z+1/2'
'y+1/4,-x+1/4,z+3/4'
'-y+1/4,x+1/4,-z+3/4'
'x,-y,-z'
'-x,y,z'
'-y+1/4,-x+1/4,-z+3/4'
'y+1/4,x+1/4,z+3/4'
'-x+1/2,y,-z+1/2'
'x+1/2,-y,z+1/2'
'y+1/4,x+3/4,-z+1/4'
'-y+1/4,-x+3/4,z+1/4'
'x+1/2,y+1/2,z+1/2'
'-x+1/2,-y+1/2,-z+1/2'
'-y+3/4,x+1/4,z+3/4'
'y+3/4,-x+1/4,-z+3/4'
'-x,-y+1/2,z'
'x,y+1/2,-z'
'y+3/4,-x+3/4,z+1/4'
'-y+3/4,x+3/4,-z+1/4'
'x+1/2,-y+1/2,-z+1/2'
'-x+1/2,y+1/2,z+1/2'
'-y+3/4,-x+3/4,-z+1/4'
'y+3/4,x+3/4,z+1/4'
'-x,y+1/2,-z'
'x,-y+1/2,z'
'y+3/4,x+1/4,-z+3/4'
'-y+3/4,-x+1/4,z+3/4'
loop_
_atom_site_label
_atom_site_type_symbol
_atom_site_fract_x
_atom_site_fract_y
_atom_site_fract_z
Eu1 Eu 0.000 0.250 0.375
Zn1 Zn 0.000 0.000 0.000
Zn2 Zn 0.000 0.250 0.875
Zn3 Zn 0.122 0.044 0.678
```

Principal peaks in the range 15 to 90 degrees two-theta, by intensity:
2θ 37.2, d = 2.418 Å, intensity 100.0, hkl 3 1 2
2θ 37.7, d = 2.388 Å, intensity 72.9, hkl 4 2 0
2θ 44.4, d = 2.041 Å, intensity 49.9, hkl 5 0 1
2θ 32.9, d = 2.723 Å, intensity 40.7, hkl 3 2 1
2θ 40.0, d = 2.256 Å, intensity 33.3, hkl 1 0 3
2θ 67.7, d = 1.384 Å, intensity 30.4, hkl 5 5 2
2θ 46.2, d = 1.966 Å, intensity 30.1, hkl 4 2 2
2θ 56.8, d = 1.620 Å, intensity 18.5, hkl 5 3 2
2θ 42.8, d = 2.114 Å, intensity 14.8, hkl 4 0 2
2θ 43.5, d = 2.078 Å, intensity 14.7, hkl 2 1 3

---

Record 5
Structure and simulated X-ray powder pattern of Ba10Cu5O17 (a structure optimized by DFT (PBE); λ = 1.5418 Å (Cu Kα)).
Neutral-atom scattering factors, no anomalous dispersion.

Structure:
```
data_Ba10Cu5O17
_space_group_name_H-M_alt 'P -1'
_space_group_IT_number 2
_cell_length_a 5.788
_cell_length_b 9.084
_cell_length_c 10.821
_cell_angle_alpha 93.78
_cell_angle_beta 92.08
_cell_angle_gamma 106.91
loop_
_space_group_symop_operation_xyz
'x,y,z'
'-x,-y,-z'
loop_
_atom_site_label
_atom_site_type_symbol
_atom_site_fract_x
_atom_site_fract_y
_atom_site_fract_z
Ba1 Ba 0.031 0.030 0.185
Ba2 Ba 0.196 0.372 0.411
Ba3 Ba 0.221 0.429 0.783
Ba4 Ba 0.397 0.773 0.012
Ba5 Ba 0.409 0.825 0.381
Cu1 Cu 0.000 0.000 0.500
Cu2 Cu 0.204 0.398 0.101
Cu3 Cu 0.388 0.794 0.704
O1 O 0.082 0.693 0.807
O2 O 0.090 0.178 0.618
O3 O 0.095 0.228 0.973
O4 O 0.276 0.585 0.211
O5 O 0.278 0.085 0.415
O6 O 0.290 0.632 0.574
O7 O 0.404 0.296 0.204
O8 O 0.459 0.982 0.809
O9 O 0.500 0.500 0.000
```

Principal peaks in the range 15 to 90 degrees two-theta, by intensity:
2θ 30.4, d = 2.937 Å, intensity 100.0, hkl 1 0 3
2θ 29.7, d = 3.008 Å, intensity 90.7, hkl 1 2 0
2θ 31.0, d = 2.881 Å, intensity 67.8, hkl 0 2 -3
2θ 30.9, d = 2.891 Å, intensity 67.4, hkl 2 -1 0
2θ 43.3, d = 2.088 Å, intensity 32.7, hkl 2 1 -3
2θ 45.4, d = 1.997 Å, intensity 28.6, hkl 2 -3 3
2θ 27.4, d = 3.252 Å, intensity 23.1, hkl 0 2 2
2θ 41.9, d = 2.156 Å, intensity 22.8, hkl 0 4 -1
2θ 41.8, d = 2.161 Å, intensity 22.7, hkl 2 1 2
2θ 53.8, d = 1.704 Å, intensity 22.5, hkl 3 1 0

---

Record 6
Structure and simulated X-ray powder pattern of PbS2N2 (a structure optimized by DFT (PBE); λ = 1.5418 Å (Cu Kα)).
Neutral-atom scattering factors, no anomalous dispersion.

Structure:
```
data_PbS2N2
_space_group_name_H-M_alt 'P 1 21/c 1'
_space_group_IT_number 14
_cell_length_a 6.420
_cell_length_b 17.320
_cell_length_c 5.480
_cell_angle_alpha 90.00
_cell_angle_beta 93.76
_cell_angle_gamma 90.00
loop_
_space_group_symop_operation_xyz
'x,y,z'
'-x,-y,-z'
'-x,y+1/2,-z+1/2'
'x,-y+1/2,z+1/2'
loop_
_atom_site_label
_atom_site_type_symbol
_atom_site_fract_x
_atom_site_fract_y
_atom_site_fract_z
Pb1 Pb 0.245 0.058 0.356
S1 S 0.346 0.545 0.272
S2 S 0.373 0.680 0.981
N1 N 0.231 0.622 0.125
N2 N 0.396 0.164 0.535
```

Principal peaks in the range 15 to 90 degrees two-theta, by intensity:
2θ 17.0, d = 5.215 Å, intensity 100.0, hkl 0 1 1
2θ 20.7, d = 4.289 Å, intensity 71.2, hkl 1 3 0
2θ 26.3, d = 3.395 Å, intensity 67.3, hkl 0 4 1
2θ 29.3, d = 3.048 Å, intensity 66.9, hkl 1 5 0
2θ 19.2, d = 4.624 Å, intensity 61.4, hkl 0 2 1
2θ 21.3, d = 4.174 Å, intensity 42.7, hkl 1 1 -1
2θ 27.9, d = 3.203 Å, intensity 38.5, hkl 2 0 0
2θ 36.4, d = 2.471 Å, intensity 35.4, hkl 0 3 2
2θ 29.7, d = 3.004 Å, intensity 34.1, hkl 2 2 0
2θ 30.3, d = 2.950 Å, intensity 31.4, hkl 1 4 1

---

Record 7
Structure and simulated X-ray powder pattern of PrSiOs2C (a structure optimized by DFT (PBE); λ = 1.5418 Å (Cu Kα)).
Neutral-atom scattering factors, no anomalous dispersion.

Structure:
```
data_PrSiOs2C
_space_group_name_H-M_alt 'C m c m'
_space_group_IT_number 63
_space_group_name_Hall '-C 2c 2'
_cell_length_a 3.997
_cell_length_b 11.120
_cell_length_c 7.219
_cell_angle_alpha 90.00
_cell_angle_beta 90.00
_cell_angle_gamma 90.00
loop_
_atom_site_label
_atom_site_type_symbol
_atom_site_fract_x
_atom_site_fract_y
_atom_site_fract_z
Pr1 Pr 0.000 0.049 0.250
Si1 Si 0.000 0.230 0.750
Os1 Os 0.000 0.334 0.060
C1 C 0.000 0.500 0.000
```

Principal peaks in the range 15 to 90 degrees two-theta, by intensity:
2θ 33.0, d = 2.718 Å, intensity 100.0, hkl 1 3 0
2θ 34.4, d = 2.604 Å, intensity 76.3, hkl 1 1 2
2θ 40.9, d = 2.208 Å, intensity 39.7, hkl 0 2 3
2θ 44.7, d = 2.027 Å, intensity 35.0, hkl 1 1 3
2θ 45.4, d = 1.999 Å, intensity 33.2, hkl 2 0 0
2θ 34.6, d = 2.594 Å, intensity 32.7, hkl 0 4 1
2θ 26.7, d = 3.336 Å, intensity 31.5, hkl 1 1 1
2θ 61.3, d = 1.512 Å, intensity 31.1, hkl 1 5 3
2θ 29.5, d = 3.028 Å, intensity 31.0, hkl 0 2 2
2θ 62.7, d = 1.481 Å, intensity 29.6, hkl 2 2 3

---

Record 8
Structure and simulated X-ray powder pattern of Sc3Pb (a structure optimized by DFT (PBE); λ = 1.5418 Å (Cu Kα)).
Neutral-atom scattering factors, no anomalous dispersion.

Structure:
```
data_Sc3Pb
_space_group_name_H-M_alt 'I 4/m m m'
_space_group_IT_number 139
_space_group_name_Hall '-I 4 2'
_cell_length_a 4.393
_cell_length_b 4.393
_cell_length_c 9.930
_cell_angle_alpha 90.00
_cell_angle_beta 90.00
_cell_angle_gamma 90.00
loop_
_atom_site_label
_atom_site_type_symbol
_atom_site_fract_x
_atom_site_fract_y
_atom_site_fract_z
Sc1 Sc 0.000 0.000 0.000
Sc2 Sc 0.000 0.500 0.250
Pb1 Pb 0.000 0.000 0.500
```

Principal peaks in the range 15 to 90 degrees two-theta, by intensity:
2θ 34.0, d = 2.633 Å, intensity 100.0, hkl 1 1 2
2θ 22.1, d = 4.018 Å, intensity 62.2, hkl 1 0 1
2θ 41.1, d = 2.197 Å, intensity 29.5, hkl 2 0 0
2θ 70.4, d = 1.338 Å, intensity 26.2, hkl 3 1 2
2θ 17.9, d = 4.965 Å, intensity 25.0, hkl 0 0 2
2θ 55.9, d = 1.645 Å, intensity 23.4, hkl 2 0 4
2θ 33.9, d = 2.644 Å, intensity 22.4, hkl 1 0 3
2θ 36.2, d = 2.483 Å, intensity 21.1, hkl 0 0 4
2θ 47.2, d = 1.927 Å, intensity 18.8, hkl 2 1 1
2θ 28.7, d = 3.106 Å, intensity 16.8, hkl 1 1 0